Starting from DFT lattice parameters and positions (GGA-PBE), the powder diffractogram of CaSm4Se7 was calculated for a wavelength of 1.5418 Å.

Structural model:
```
data_CaSm4Se7
_symmetry_space_group_name_H-M 'C 1 m 1'
_symmetry_Int_Tables_number 8
_symmetry_space_group_name_Hall 'C -2y'
_cell_length_a 13.657
_cell_length_b 4.084
_cell_length_c 12.423
_cell_angle_alpha 90.00
_cell_angle_beta 105.12
_cell_angle_gamma 90.00
loop_
_atom_site_label
_atom_site_fract_x
_atom_site_fract_y
_atom_site_fract_z
Ca1 0.000 0.000 0.000
Sm1 0.125 0.000 0.419
Sm2 0.230 0.000 0.848
Sm3 0.319 0.500 0.232
Sm4 0.431 0.000 0.627
Se1 0.082 0.000 0.633
Se2 0.099 0.500 0.896
Se3 0.163 0.000 0.204
Se4 0.285 0.500 0.475
Se5 0.352 0.500 0.773
Se6 0.374 0.000 0.072
Se7 0.464 0.000 0.376
```

Main lines, in order of falling intensity (10 to 90 degrees two-theta):
(hkl)	2θ/deg	I (rel.)
0 2 0	44.3	100
3 1 0	29.9	92
3 1 -2	30.9	85
3 1 1	32.1	73
2 0 -3	22.8	69
2 0 2	22.5	68
3 1 -1	29.5	66
1 1 4	39.3	54
2 0 -4	29.3	41
1 1 -4	36.4	41